This entry pairs a crystal structure of CaCoAsO5 with its simulated X-ray powder pattern. Radiation: Cu Ka. Structure: the GGA+U geometry in Alexandria.
Intensities are scaled so that the largest is 100.

Cell and atoms:
```
data_CaCoAsO5
_space_group_name_H-M_alt 'P 21 21 21'
_space_group_IT_number 19
_cell_length_a 5.831
_cell_length_b 7.642
_cell_length_c 8.962
_cell_angle_alpha 90.00
_cell_angle_beta 90.00
_cell_angle_gamma 90.00
loop_
_space_group_symop_operation_xyz
'x,y,z'
'-x+1/2,-y,z+1/2'
'x+1/2,-y+1/2,-z'
'-x,y+1/2,-z+1/2'
loop_
_atom_site_label
_atom_site_type_symbol
_atom_site_fract_x
_atom_site_fract_y
_atom_site_fract_z
Ca1 Ca 0.025 0.154 0.165
Co1 Co 0.246 0.254 0.502
As1 As 0.017 0.600 0.695
O1 O 0.002 0.136 0.426
O2 O 0.010 0.918 0.922
O3 O 0.086 0.766 0.576
O4 O 0.243 0.126 0.715
O5 O 0.248 0.415 0.312
```

Most intense lines, 2θ from 10° to 90°, sorted by position:
hkl 0 1 1, 2θ = 15.2°, 5.815 Å, intensity 42.0
hkl 1 2 0, 2θ = 27.9°, 3.196 Å, intensity 79.1
hkl 0 2 2, 2θ = 30.7°, 2.909 Å, intensity 44.8
hkl 0 1 3, 2θ = 32.2°, 2.782 Å, intensity 63.6
hkl 2 1 1, 2θ = 34.4°, 2.605 Å, intensity 100.0
hkl 2 3 3, 2θ = 57.0°, 1.615 Å, intensity 55.7